1.
Calculated XRD peak list
Compound: ScReSb2Os
Radiation: Cu Kα, 1.54184 Å
Structure: a DFT-relaxed cell (GGA-PBE, Alexandria)

Atomic structure:
```
ScReSb2Os
1.0
5.070 0.000 0.000
0.000 5.070 0.000
0.000 0.000 4.867
Sc Re Sb Os
1 1 2 1
direct
0.000 0.000 0.000 Sc
0.500 0.500 0.000 Re
0.000 0.500 0.500 Sb
0.500 0.000 0.500 Sb
0.500 0.500 0.500 Os
```

Peak list (10 most intense, 2θ = 5–70°, most intense first)
2θ/deg, I_rel
17.49, 100
35.41, 74
52.10, 49
30.98, 40
36.94, 33
39.75, 26
50.94, 26
64.57, 25
41.14, 24
55.38, 21

2.
Calculated XRD peak list
Compound: Sm2PdPt2
Radiation: Cu Kα, 1.54184 Å
Structure: a DFT-relaxed cell (GGA-PBE, Alexandria)

Atomic structure:
```
Sm2PdPt2
1.0
7.581 0.000 0.000
0.000 7.581 0.000
0.000 0.000 7.711
Sm Pd Pt
8 4 8
direct
0.173 0.327 0.000 Sm
0.173 0.327 0.500 Sm
0.327 0.827 0.000 Sm
0.327 0.827 0.500 Sm
0.673 0.173 0.000 Sm
0.673 0.173 0.500 Sm
0.827 0.673 0.000 Sm
0.827 0.673 0.500 Sm
0.000 0.000 0.248 Pd
0.000 0.000 0.752 Pd
0.500 0.500 0.252 Pd
0.500 0.500 0.748 Pd
0.131 0.631 0.250 Pt
0.131 0.631 0.750 Pt
0.369 0.131 0.250 Pt
0.369 0.131 0.750 Pt
0.631 0.869 0.250 Pt
0.631 0.869 0.750 Pt
0.869 0.369 0.250 Pt
0.869 0.369 0.750 Pt
```

Peak list (10 most intense, 2θ = 5–70°, most intense first)
2θ/deg, I_rel
35.25, 100
37.52, 34
61.75, 16
33.14, 15
47.15, 14
16.54, 11
55.36, 9
43.02, 9
67.52, 8
49.37, 7

3.
Calculated XRD peak list
Compound: Hf2ZrCrC4
Radiation: Cu Kα, 1.54184 Å
Structure: a DFT-relaxed cell (GGA-PBE, Alexandria)

Atomic structure:
```
Hf2ZrCrC4
1.0
1.611 -5.533 0.000
1.611 5.533 0.000
0.000 0.000 11.220
Hf Zr Cr C
4 2 2 8
direct
0.132 0.868 0.542 Hf
0.132 0.868 0.958 Hf
0.868 0.132 0.042 Hf
0.868 0.132 0.458 Hf
0.388 0.612 0.750 Zr
0.612 0.388 0.250 Zr
0.348 0.652 0.250 Cr
0.652 0.348 0.750 Cr
0.051 0.949 0.750 C
0.237 0.763 0.127 C
0.237 0.763 0.373 C
0.500 0.500 0.000 C
0.500 0.500 0.500 C
0.763 0.237 0.627 C
0.763 0.237 0.873 C
0.949 0.051 0.250 C
```

Peak list (10 most intense, 2θ = 5–70°, most intense first)
2θ/deg, I_rel
33.08, 100
40.51, 89
28.82, 84
32.36, 63
15.80, 41
31.91, 35
50.23, 31
43.52, 27
46.08, 23
52.77, 21

4.
Calculated XRD peak list
Compound: Pr2HoTh2
Radiation: Cu Kα, 1.54184 Å
Structure: a DFT-relaxed cell (GGA-PBE, Alexandria)

Atomic structure:
```
Pr2HoTh2
1.0
1.810 1.045 14.764
-1.810 1.045 14.764
0.000 -2.090 14.764
Pr Ho Th
2 1 2
direct
0.204 0.204 0.204 Pr
0.796 0.796 0.796 Pr
0.000 0.000 0.000 Ho
0.398 0.398 0.398 Th
0.602 0.602 0.602 Th
```

Peak list (10 most intense, 2θ = 5–70°, most intense first)
2θ/deg, I_rel
30.24, 100
35.06, 51
59.94, 42
50.43, 36
62.90, 12
5.99, 11
11.99, 4
39.04, 2
56.04, 2
32.83, 2